Record 1
# Pm3ZnSi
Theoretical PXRD pattern, λ = 1.5418 Å (Cu Kα). Input: the PBE geometry in Alexandria.
Peak positions follow from Bragg's law for the DFT cell and can differ from measured ones.

Crystal structure
```
data_Pm3ZnSi
_symmetry_space_group_name_H-M 'P m m n'
_symmetry_Int_Tables_number 59
_cell_length_a 4.375
_cell_length_b 7.321
_cell_length_c 9.068
_cell_angle_alpha 90.00
_cell_angle_beta 90.00
_cell_angle_gamma 90.00
loop_
_symmetry_equiv_pos_as_xyz
'x,y,z'
'-x,-y,-z'
'-x+1/2,-y+1/2,z'
'x+1/2,y+1/2,-z'
'x+1/2,-y,-z'
'-x+1/2,y,z'
'-x,y+1/2,-z'
'x,-y+1/2,z'
loop_
_atom_site_label
_atom_site_type_symbol
_atom_site_fract_x
_atom_site_fract_y
_atom_site_fract_z
Pm1 Pm 0.250 0.011 0.172
Pm2 Pm 0.250 0.250 0.570
Zn1 Zn 0.250 0.750 0.660
Si1 Si 0.250 0.250 0.895
```

The 10 most intense peaks (2θ from 5° to 70°), by angle:
| 2theta | intensity | (hkl) |
| --- | --- | --- |
| 26.26 | 48 | 0 2 1 |
| 28.35 | 75 | 1 0 2 |
| 29.55 | 16 | 0 0 3 |
| 31.41 | 20 | 0 2 2 |
| 33.41 | 100 | 1 2 1 |
| 38.63 | 21 | 0 2 3 |
| 41.27 | 26 | 2 0 0 |
| 49.58 | 17 | 2 2 1 |
| 51.84 | 22 | 1 2 4 |
| 58.32 | 19 | 1 4 2 |

=====

Record 2
# LiY5Se8
Theoretical PXRD pattern, λ = 1.5418 Å (Cu Kα). Input: the PBE geometry in Alexandria.
Peak positions follow from Bragg's law for the DFT cell and can differ from measured ones.

Crystal structure
```
data_LiY5Se8
_symmetry_space_group_name_H-M 'F -4 3 m'
_symmetry_Int_Tables_number 216
_symmetry_space_group_name_Hall 'F -4 2 3'
_cell_length_a 11.840
_cell_length_b 11.840
_cell_length_c 11.840
_cell_angle_alpha 90.00
_cell_angle_beta 90.00
_cell_angle_gamma 90.00
loop_
_atom_site_label
_atom_site_type_symbol
_atom_site_fract_x
_atom_site_fract_y
_atom_site_fract_z
Li1 Li 0.000 0.000 0.000
Y1 Y 0.130 0.130 0.630
Y2 Y 0.250 0.250 0.250
Se1 Se 0.116 0.116 0.384
Se2 Se 0.130 0.130 0.870
```

The 10 most intense peaks (2θ from 5° to 70°), by angle:
| 2theta | intensity | (hkl) |
| --- | --- | --- |
| 12.95 | 32 | 1 1 1 |
| 24.94 | 46 | 3 1 1 |
| 26.07 | 19 | 2 2 2 |
| 30.19 | 95 | 4 0 0 |
| 39.55 | 30 | 5 1 1 |
| 43.22 | 100 | 4 4 0 |
| 51.17 | 8 | 6 2 2 |
| 53.63 | 23 | 4 4 4 |
| 60.01 | 10 | 5 5 3 |
| 62.78 | 15 | 8 0 0 |

=====

Record 3
# KNaCeSe3
Theoretical PXRD pattern, λ = 1.5418 Å (Cu Kα). Input: the PBE geometry in Alexandria.
Peak positions follow from Bragg's law for the DFT cell and can differ from measured ones.

Crystal structure
```
data_KNaCeSe3
_symmetry_space_group_name_H-M 'P 1 21/m 1'
_symmetry_Int_Tables_number 11
_symmetry_space_group_name_Hall '-P 2yb'
_cell_length_a 7.959
_cell_length_b 4.330
_cell_length_c 10.328
_cell_angle_alpha 90.00
_cell_angle_beta 92.74
_cell_angle_gamma 90.00
loop_
_atom_site_label
_atom_site_type_symbol
_atom_site_fract_x
_atom_site_fract_y
_atom_site_fract_z
K1 K 0.080 0.250 0.166
Na1 Na 0.238 0.750 0.496
Ce1 Ce 0.414 0.250 0.815
Se1 Se 0.119 0.250 0.667
Se2 Se 0.301 0.750 0.986
Se3 Se 0.440 0.250 0.323
```

The 10 most intense peaks (2θ from 5° to 70°), by angle:
| 2theta | intensity | (hkl) |
| --- | --- | --- |
| 8.57 | 14 | 0 0 1 |
| 11.13 | 36 | 1 0 0 |
| 13.73 | 26 | 1 0 -1 |
| 28.85 | 100 | 1 1 -2 |
| 29.01 | 48 | 2 0 2 |
| 39.89 | 33 | 3 1 0 |
| 40.77 | 19 | 2 0 -4 |
| 41.72 | 19 | 0 2 0 |
| 42.81 | 33 | 1 1 4 |
| 51.62 | 19 | 2 2 2 |

=====

Record 4
# AlZn2As
Theoretical PXRD pattern, λ = 1.5418 Å (Cu Kα). Input: the PBE geometry in Alexandria.
Peak positions follow from Bragg's law for the DFT cell and can differ from measured ones.

Crystal structure
```
data_AlZn2As
_symmetry_space_group_name_H-M 'C 1 2/m 1'
_symmetry_Int_Tables_number 12
_symmetry_space_group_name_Hall '-C 2y'
_cell_length_a 5.228
_cell_length_b 10.023
_cell_length_c 3.753
_cell_angle_alpha 90.00
_cell_angle_beta 133.89
_cell_angle_gamma 90.00
loop_
_atom_site_label
_atom_site_type_symbol
_atom_site_fract_x
_atom_site_fract_y
_atom_site_fract_z
Al1 Al 0.000 0.000 0.000
Zn1 Zn 0.250 0.250 0.000
As1 As 0.000 0.500 0.000
```

The 10 most intense peaks (2θ from 5° to 70°), by angle:
| 2theta | intensity | (hkl) |
| --- | --- | --- |
| 25.25 | 13 | 1 1 0 |
| 25.36 | 13 | 1 1 -1 |
| 33.12 | 78 | 0 0 1 |
| 35.84 | 68 | 0 4 0 |
| 38.86 | 100 | 2 2 -1 |
| 49.60 | 48 | 0 4 1 |
| 51.85 | 42 | 2 2 0 |
| 52.07 | 42 | 2 2 -2 |
| 66.42 | 19 | 2 6 -1 |
| 69.52 | 8 | 0 0 2 |

=====

Record 5
# CaPr3Al8
Theoretical PXRD pattern, λ = 1.5418 Å (Cu Kα). Input: the PBE geometry in Alexandria.
Peak positions follow from Bragg's law for the DFT cell and can differ from measured ones.

Crystal structure
```
data_CaPr3Al8
_symmetry_space_group_name_H-M 'R 3 m'
_symmetry_Int_Tables_number 160
_symmetry_space_group_name_Hall 'R 3 -2"'
_cell_length_a 5.6942
_cell_length_b 5.6942
_cell_length_c 28.0092
_cell_angle_alpha 90.00
_cell_angle_beta 90.00
_cell_angle_gamma 120.00
loop_
_atom_site_label
_atom_site_type_symbol
_atom_site_fract_x
_atom_site_fract_y
_atom_site_fract_z
Ca1 Ca 0.0000 0.0000 0.0000
Pr1 Pr 0.0000 0.0000 0.1230
Pr2 Pr 0.0000 0.0000 0.4994
Pr3 Pr 0.0000 0.0000 0.6260
Al1 Al 0.0000 0.0000 0.3125
Al2 Al 0.0000 0.0000 0.8119
Al3 Al 0.0010 0.5005 0.0627
Al4 Al 0.1670 0.3339 0.8953
```

The 10 most intense peaks (2θ from 5° to 70°), by angle:
| 2theta | intensity | (hkl) |
| --- | --- | --- |
| 9.47 | 10 | 0 0 3 |
| 19.06 | 54 | 0 0 6 |
| 31.38 | 100 | 1 1 0 |
| 36.96 | 87 | 1 1 6 |
| 37.02 | 29 | 2 0 2 |
| 55.90 | 29 | 3 0 0 |
| 59.55 | 21 | 2 1 10 |
| 59.63 | 14 | 3 0 6 |
| 65.38 | 12 | 0 2 16 |
| 65.58 | 13 | 2 2 0 |

=====

Record 6
# Pm7Cd2Co2
Theoretical PXRD pattern, λ = 1.5418 Å (Cu Kα). Input: the PBE geometry in Alexandria.
Peak positions follow from Bragg's law for the DFT cell and can differ from measured ones.

Crystal structure
```
data_Pm7Cd2Co2
_symmetry_space_group_name_H-M 'I m m 2'
_symmetry_Int_Tables_number 44
_symmetry_space_group_name_Hall 'I 2 -2'
_cell_length_a 3.716
_cell_length_b 15.618
_cell_length_c 10.631
_cell_angle_alpha 90.00
_cell_angle_beta 90.00
_cell_angle_gamma 90.00
loop_
_atom_site_label
_atom_site_type_symbol
_atom_site_fract_x
_atom_site_fract_y
_atom_site_fract_z
Pm1 Pm 0.000 0.000 0.000
Pm2 Pm 0.000 0.174 0.494
Pm3 Pm 0.000 0.345 0.692
Pm4 Pm 0.000 0.354 0.298
Cd1 Cd 0.000 0.000 0.314
Cd2 Cd 0.000 0.500 0.056
Co1 Co 0.000 0.190 0.987
```

The 10 most intense peaks (2θ from 5° to 70°), by angle:
| 2theta | intensity | (hkl) |
| --- | --- | --- |
| 27.88 | 35 | 1 2 1 |
| 28.36 | 20 | 0 4 2 |
| 29.89 | 44 | 1 1 2 |
| 30.52 | 67 | 0 3 3 |
| 34.11 | 100 | 1 3 2 |
| 34.42 | 78 | 0 6 0 |
| 34.99 | 25 | 1 0 3 |
| 49.02 | 32 | 2 0 0 |
| 58.86 | 21 | 2 3 3 |
| 61.30 | 18 | 2 6 0 |